Entry 1:
Starting from a PBE-relaxed structure, the powder diffractogram of LiYNpN3 was computed for Cu Kα.
Lines closer than 0.1° are merged.

Cell and atoms:
```
data_LiYNpN3
_symmetry_space_group_name_H-M 'P 1 21/m 1'
_symmetry_Int_Tables_number 11
_symmetry_space_group_name_Hall '-P 2yb'
_cell_length_a 6.812
_cell_length_b 3.407
_cell_length_c 7.040
_cell_angle_alpha 90.00
_cell_angle_beta 102.51
_cell_angle_gamma 90.00
loop_
_atom_site_label
_atom_site_fract_x
_atom_site_fract_y
_atom_site_fract_z
Li1 0.080 0.250 0.073
Y1 0.286 0.750 0.821
Np1 0.319 0.750 0.327
N1 0.017 0.750 0.210
N2 0.362 0.250 0.114
N3 0.366 0.250 0.584
```

Principal peaks in the range 2θ from 5° to 70°, in order of rising 2θ:
hkl, d/Å, I (rel.)
1 0 0, 6.650, 58.2
1 0 -1, 5.399, 61.2
0 0 2, 3.436, 32.3
2 0 0, 3.325, 39.7
1 1 0, 3.032, 100.0
1 0 2, 2.814, 40.0
2 0 -2, 2.699, 38.0
0 1 2, 2.419, 57.6
1 1 -2, 2.394, 61.6
2 1 2, 1.828, 31.9

Entry 2:
Starting from a PBE-relaxed structure, the powder diffractogram of LaReAu was computed for Cu Kα.
Lines closer than 0.1° are merged.

Cell and atoms:
```
data_LaReAu
_symmetry_space_group_name_H-M 'I m m 2'
_symmetry_Int_Tables_number 44
_symmetry_space_group_name_Hall 'I 2 -2'
_cell_length_a 2.952
_cell_length_b 4.133
_cell_length_c 10.682
_cell_angle_alpha 90.00
_cell_angle_beta 90.00
_cell_angle_gamma 90.00
loop_
_atom_site_label
_atom_site_fract_x
_atom_site_fract_y
_atom_site_fract_z
La1 0.000 0.000 0.000
Re1 0.000 0.000 0.693
Au1 0.000 0.000 0.296
```

Principal peaks in the range 2θ from 5° to 70°, in order of rising 2θ:
hkl, d/Å, I (rel.)
0 0 2, 5.341, 35.6
0 1 3, 2.698, 100.0
0 0 4, 2.670, 14.0
1 1 0, 2.402, 96.0
1 0 3, 2.273, 61.9
1 1 2, 2.191, 15.7
0 2 0, 2.067, 31.0
1 1 4, 1.786, 17.2
1 2 3, 1.529, 36.1
0 1 7, 1.431, 23.5